# Tl5Ru4
Simulated XRD peak list, Cu Kα X-rays. Input: a crystal structure in Alexandria, relaxed with PBE.
Intensities are scaled so that the largest is 100.

Atomic structure:
```
data_Tl5Ru4
_chemical_formula_sum 'Tl10 Ru8'
_symmetry_space_group_name_H-M 'I 4/m m m'
_symmetry_Int_Tables_number 139
_symmetry_space_group_name_Hall '-I 4 2'
_cell_length_a 9.171
_cell_length_b 9.171
_cell_length_c 4.434
_cell_angle_alpha 90.00
_cell_angle_beta 90.00
_cell_angle_gamma 90.00
loop_
_atom_site_label
_atom_site_type_symbol
_atom_site_fract_x
_atom_site_fract_y
_atom_site_fract_z
_atom_site_occupancy
Tl1 Tl 0.000 0.000 0.000 1
Tl2 Tl 0.175 0.175 0.500 1
Ru1 Ru 0.000 0.367 0.000 1
```

Largest 6 diffraction maxima, by intensity, 10° ≤ 2θ ≤ 80°:
(3 0 1), 2θ 35.7, d 2.517, I = 100; (3 3 0), 2θ 41.8, d 2.162, I = 30; (3 3 2), 2θ 59.7, d 1.548, I = 21; (6 3 1), 2θ 72.3, d 1.307, I = 19; (0 0 2), 2θ 40.7, d 2.217, I = 19; (3 0 3), 2θ 70.8, d 1.331, I = 14

***

# Tl2Ru
Simulated XRD peak list, Cu Kα X-rays. Input: a crystal structure in Alexandria, relaxed with PBE.
Intensities are scaled so that the largest is 100.

Atomic structure:
```
data_Tl2Ru
_chemical_formula_sum 'Tl8 Ru4'
_symmetry_space_group_name_H-M 'C m c m'
_symmetry_Int_Tables_number 63
_symmetry_space_group_name_Hall '-C 2c 2'
_cell_length_a 3.290
_cell_length_b 16.144
_cell_length_c 5.099
_cell_angle_alpha 90.00
_cell_angle_beta 90.00
_cell_angle_gamma 90.00
loop_
_atom_site_label
_atom_site_type_symbol
_atom_site_fract_x
_atom_site_fract_y
_atom_site_fract_z
_atom_site_occupancy
Tl1 Tl 0.000 0.061 0.250 1
Tl2 Tl 0.000 0.351 0.250 1
Ru1 Ru 0.000 0.289 0.750 1
```

Largest 6 diffraction maxima, by intensity, 10° ≤ 2θ ≤ 80°:
(1 3 1), 2θ 36.5, d 2.459, I = 100; (1 3 0), 2θ 31.9, d 2.807, I = 78; (0 0 2), 2θ 35.2, d 2.550, I = 66; (1 3 2), 2θ 48.2, d 1.888, I = 66; (0 6 1), 2θ 37.8, d 2.380, I = 61; (0 4 1), 2θ 28.2, d 3.165, I = 47

***

# Tm5TlRu2
Simulated XRD peak list, Cu Kα X-rays. Input: a crystal structure in Alexandria, relaxed with PBE.
Intensities are scaled so that the largest is 100.

Atomic structure:
```
data_Tm5TlRu2
_chemical_formula_sum 'Tm20 Tl4 Ru8'
_symmetry_space_group_name_H-M 'I 4/m c m'
_symmetry_Int_Tables_number 140
_symmetry_space_group_name_Hall '-I 4 2c'
_cell_length_a 7.618
_cell_length_b 7.618
_cell_length_c 13.555
_cell_angle_alpha 90.00
_cell_angle_beta 90.00
_cell_angle_gamma 90.00
loop_
_atom_site_label
_atom_site_type_symbol
_atom_site_fract_x
_atom_site_fract_y
_atom_site_fract_z
_atom_site_occupancy
Tm1 Tm 0.000 0.000 0.000 1
Tm2 Tm 0.159 0.341 0.131 1
Tl1 Tl 0.000 0.000 0.250 1
Ru1 Ru 0.142 0.358 0.500 1
```

Largest 6 diffraction maxima, by intensity, 10° ≤ 2θ ≤ 80°:
(2 1 3), 2θ 32.9, d 2.720, I = 100; (3 1 0), 2θ 37.3, d 2.409, I = 80; (2 0 4), 2θ 35.5, d 2.532, I = 47; (1 1 4), 2θ 31.2, d 2.868, I = 42; (2 1 5), 2θ 42.6, d 2.121, I = 30; (3 1 8), 2θ 67.6, d 1.386, I = 27

***

# Tm6Tl2Ru
Simulated XRD peak list, Cu Kα X-rays. Input: a crystal structure in Alexandria, relaxed with PBE.
Intensities are scaled so that the largest is 100.

Atomic structure:
```
data_Tm6Tl2Ru
_chemical_formula_sum 'Tm12 Tl4 Ru2'
_symmetry_space_group_name_H-M 'I m m m'
_symmetry_Int_Tables_number 71
_symmetry_space_group_name_Hall '-I 2 2'
_cell_length_a 5.030
_cell_length_b 7.172
_cell_length_c 14.655
_cell_angle_alpha 90.00
_cell_angle_beta 90.00
_cell_angle_gamma 90.00
loop_
_atom_site_label
_atom_site_type_symbol
_atom_site_fract_x
_atom_site_fract_y
_atom_site_fract_z
_atom_site_occupancy
Tm1 Tm 0.000 0.223 0.000 1
Tm2 Tm 0.000 0.262 0.346 1
Tl1 Tl 0.000 0.500 0.166 1
Ru1 Ru 0.000 0.500 0.500 1
```

Largest 6 diffraction maxima, by intensity, 10° ≤ 2θ ≤ 80°:
(1 2 3), 2θ 35.8, d 2.506, I = 100; (2 0 0), 2θ 35.7, d 2.515, I = 27; (0 0 6), 2θ 36.8, d 2.443, I = 22; (0 1 3), 2θ 22.0, d 4.038, I = 21; (1 1 0), 2θ 21.6, d 4.118, I = 21; (3 2 3), 2θ 64.2, d 1.450, I = 19

***

# Tm8TlRu2
Simulated XRD peak list, Cu Kα X-rays. Input: a crystal structure in Alexandria, relaxed with PBE.
Intensities are scaled so that the largest is 100.

Atomic structure:
```
data_Tm8TlRu2
_chemical_formula_sum 'Tm16 Tl2 Ru4'
_symmetry_space_group_name_H-M 'I m m 2'
_symmetry_Int_Tables_number 44
_symmetry_space_group_name_Hall 'I 2 -2'
_cell_length_a 5.198
_cell_length_b 15.717
_cell_length_c 6.867
_cell_angle_alpha 90.00
_cell_angle_beta 90.00
_cell_angle_gamma 90.00
loop_
_atom_site_label
_atom_site_type_symbol
_atom_site_fract_x
_atom_site_fract_y
_atom_site_fract_z
_atom_site_occupancy
Tm1 Tm 0.000 0.000 0.000 1
Tm2 Tm 0.000 0.111 0.459 1
Tm3 Tm 0.000 0.288 0.134 1
Tm4 Tm 0.000 0.331 0.593 1
Tm5 Tm 0.000 0.500 0.226 1
Tl1 Tl 0.000 0.500 0.795 1
Ru1 Ru 0.000 0.171 0.827 1
```

Largest 6 diffraction maxima, by intensity, 10° ≤ 2θ ≤ 80°:
(1 4 1), 2θ 31.4, d 2.852, I = 100; (1 3 2), 2θ 35.7, d 2.514, I = 97; (2 0 0), 2θ 34.5, d 2.599, I = 79; (1 1 2), 2θ 31.7, d 2.818, I = 66; (1 5 0), 2θ 33.3, d 2.690, I = 45; (1 0 3), 2θ 43.2, d 2.096, I = 27

***

# Tm4Tl2Ru
Simulated XRD peak list, Cu Kα X-rays. Input: a crystal structure in Alexandria, relaxed with PBE.
Intensities are scaled so that the largest is 100.

Atomic structure:
```
data_Tm4Tl2Ru
_chemical_formula_sum 'Tm8 Tl4 Ru2'
_symmetry_space_group_name_H-M 'P b a m'
_symmetry_Int_Tables_number 55
_symmetry_space_group_name_Hall '-P 2 2ab'
_cell_length_a 8.804
_cell_length_b 12.228
_cell_length_c 3.594
_cell_angle_alpha 90.00
_cell_angle_beta 90.00
_cell_angle_gamma 90.00
loop_
_atom_site_label
_atom_site_type_symbol
_atom_site_fract_x
_atom_site_fract_y
_atom_site_fract_z
_atom_site_occupancy
Tm1 Tm 0.130 0.190 0.000 1
Tm2 Tm 0.213 0.930 0.500 1
Tl1 Tl 0.069 0.645 0.500 1
Ru1 Ru 0.000 0.000 0.000 1
```

Largest 6 diffraction maxima, by intensity, 10° ≤ 2θ ≤ 80°:
(2 1 1), 2θ 33.0, d 2.714, I = 100; (1 4 0), 2θ 31.0, d 2.888, I = 65; (3 2 0), 2θ 33.9, d 2.646, I = 63; (1 1 1), 2θ 27.8, d 3.211, I = 48; (1 3 1), 2θ 34.8, d 2.578, I = 48; (2 2 1), 2θ 35.4, d 2.534, I = 31

***

# Tm12Tl6Ru
Simulated XRD peak list, Cu Kα X-rays. Input: a crystal structure in Alexandria, relaxed with PBE.
Intensities are scaled so that the largest is 100.

Atomic structure:
```
data_Tm12Tl6Ru
_chemical_formula_sum 'Tm36 Tl18 Ru3'
_symmetry_space_group_name_H-M 'R -3'
_symmetry_Int_Tables_number 148
_symmetry_space_group_name_Hall '-R 3'
_cell_length_a 12.0407
_cell_length_b 12.0407
_cell_length_c 13.2164
_cell_angle_alpha 90.00
_cell_angle_beta 90.00
_cell_angle_gamma 120.00
loop_
_atom_site_label
_atom_site_type_symbol
_atom_site_fract_x
_atom_site_fract_y
_atom_site_fract_z
_atom_site_occupancy
Tm1 Tm 0.0326 0.8478 0.3920 1
Tm2 Tm 0.0346 0.1873 0.8762 1
Tl1 Tl 0.0092 0.6144 0.2612 1
Ru1 Ru 0.0000 0.0000 0.0000 1
```

Largest 6 diffraction maxima, by intensity, 10° ≤ 2θ ≤ 80°:
(1 3 1), 2θ 31.7, d 2.825, I = 100; (2 2 3), 2θ 36.1, d 2.485, I = 92; (1 0 4), 2θ 28.3, d 3.150, I = 46; (4 -1 2), 2θ 33.8, d 2.649, I = 40; (2 2 0), 2θ 29.7, d 3.010, I = 22; (3 -1 4), 2θ 35.5, d 2.532, I = 22

***

# TmZrTlRu
Simulated XRD peak list, Cu Kα X-rays. Input: a crystal structure in Alexandria, relaxed with PBE.
Intensities are scaled so that the largest is 100.

Atomic structure:
```
data_TmZrTlRu
_chemical_formula_sum 'Tm1 Zr1 Tl1 Ru1'
_symmetry_space_group_name_H-M 'P 4 m m'
_symmetry_Int_Tables_number 99
_symmetry_space_group_name_Hall 'P 4 -2'
_cell_length_a 3.315
_cell_length_b 3.315
_cell_length_c 7.857
_cell_angle_alpha 90.00
_cell_angle_beta 90.00
_cell_angle_gamma 90.00
loop_
_atom_site_label
_atom_site_type_symbol
_atom_site_fract_x
_atom_site_fract_y
_atom_site_fract_z
_atom_site_occupancy
Tm1 Tm 0.000 0.000 0.000 1
Zr1 Zr 0.000 0.000 0.421 1
Tl1 Tl 0.500 0.500 0.700 1
Ru1 Ru 0.500 0.500 0.225 1
```

Largest 6 diffraction maxima, by intensity, 10° ≤ 2θ ≤ 80°:
(1 0 2), 2θ 35.4, d 2.533, I = 100; (1 1 0), 2θ 38.4, d 2.344, I = 45; (2 1 2), 2θ 67.5, d 1.387, I = 30; (1 0 1), 2θ 29.2, d 3.054, I = 20; (2 0 0), 2θ 55.4, d 1.657, I = 16; (1 1 4), 2θ 61.6, d 1.505, I = 14

***

# YTl2Ru
Simulated XRD peak list, Cu Kα X-rays. Input: a crystal structure in Alexandria, relaxed with PBE.
Intensities are scaled so that the largest is 100.

Atomic structure:
```
data_YTl2Ru
_chemical_formula_sum 'Y2 Tl4 Ru2'
_symmetry_space_group_name_H-M 'I m m 2'
_symmetry_Int_Tables_number 44
_symmetry_space_group_name_Hall 'I 2 -2'
_cell_length_a 3.320
_cell_length_b 4.620
_cell_length_c 12.752
_cell_angle_alpha 90.00
_cell_angle_beta 90.00
_cell_angle_gamma 90.00
loop_
_atom_site_label
_atom_site_type_symbol
_atom_site_fract_x
_atom_site_fract_y
_atom_site_fract_z
_atom_site_occupancy
Y1 Y 0.000 0.000 0.000 1
Tl1 Tl 0.000 0.000 0.630 1
Tl2 Tl 0.000 0.500 0.813 1
Ru1 Ru 0.000 0.500 0.325 1
```

Largest 6 diffraction maxima, by intensity, 10° ≤ 2θ ≤ 80°:
(1 1 2), 2θ 36.2, d 2.483, I = 100; (0 1 3), 2θ 28.5, d 3.128, I = 51; (0 2 0), 2θ 39.0, d 2.310, I = 28; (1 1 4), 2θ 44.0, d 2.058, I = 25; (1 0 1), 2θ 27.8, d 3.213, I = 22; (1 1 8), 2θ 68.4, d 1.372, I = 20

***

# Y3TlRu2
Simulated XRD peak list, Cu Kα X-rays. Input: a crystal structure in Alexandria, relaxed with PBE.
Intensities are scaled so that the largest is 100.

Atomic structure:
```
data_Y3TlRu2
_chemical_formula_sum 'Y3 Tl1 Ru2'
_symmetry_space_group_name_H-M 'P 4/m m m'
_symmetry_Int_Tables_number 123
_symmetry_space_group_name_Hall '-P 4 2'
_cell_length_a 3.454
_cell_length_b 3.454
_cell_length_c 11.369
_cell_angle_alpha 90.00
_cell_angle_beta 90.00
_cell_angle_gamma 90.00
loop_
_atom_site_label
_atom_site_type_symbol
_atom_site_fract_x
_atom_site_fract_y
_atom_site_fract_z
_atom_site_occupancy
Y1 Y 0.000 0.000 0.000 1
Y2 Y 0.000 0.000 0.294 1
Tl1 Tl 0.500 0.500 0.500 1
Ru1 Ru 0.500 0.500 0.154 1
```

Largest 6 diffraction maxima, by intensity, 10° ≤ 2θ ≤ 80°:
(1 0 3), 2θ 35.2, d 2.553, I = 100; (1 1 0), 2θ 36.8, d 2.442, I = 52; (2 1 3), 2θ 65.2, d 1.430, I = 32; (2 0 0), 2θ 53.0, d 1.727, I = 18; (1 0 2), 2θ 30.3, d 2.952, I = 14; (1 1 6), 2θ 62.0, d 1.497, I = 12

***

# Y5TlRu
Simulated XRD peak list, Cu Kα X-rays. Input: a crystal structure in Alexandria, relaxed with PBE.
Intensities are scaled so that the largest is 100.

Atomic structure:
```
data_Y5TlRu
_chemical_formula_sum 'Y20 Tl4 Ru4'
_symmetry_space_group_name_H-M 'C 1 2/c 1'
_symmetry_Int_Tables_number 15
_symmetry_space_group_name_Hall '-C 2yc'
_cell_length_a 9.401
_cell_length_b 7.470
_cell_length_c 11.871
_cell_angle_alpha 90.00
_cell_angle_beta 106.69
_cell_angle_gamma 90.00
loop_
_atom_site_label
_atom_site_type_symbol
_atom_site_fract_x
_atom_site_fract_y
_atom_site_fract_z
_atom_site_occupancy
Y1 Y 0.000 0.001 0.250 1
Y2 Y 0.123 0.329 0.062 1
Y3 Y 0.248 0.167 0.624 1
Tl1 Tl 0.000 0.409 0.750 1
Ru1 Ru 0.000 0.000 0.000 1
```

Largest 6 diffraction maxima, by intensity, 10° ≤ 2θ ≤ 80°:
(2 0 -4), 2θ 32.0, d 2.793, I = 100; (2 2 -1), 2θ 30.6, d 2.917, I = 73; (0 2 3), 2θ 33.7, d 2.660, I = 57; (1 1 3), 2θ 30.5, d 2.927, I = 51; (3 1 -1), 2θ 31.0, d 2.889, I = 50; (2 2 0), 2θ 31.1, d 2.875, I = 49

***

# Y5Tl2Ru
Simulated XRD peak list, Cu Kα X-rays. Input: a crystal structure in Alexandria, relaxed with PBE.
Intensities are scaled so that the largest is 100.

Atomic structure:
```
data_Y5Tl2Ru
_chemical_formula_sum 'Y10 Tl4 Ru2'
_symmetry_space_group_name_H-M 'P b a m'
_symmetry_Int_Tables_number 55
_symmetry_space_group_name_Hall '-P 2 2ab'
_cell_length_a 7.790
_cell_length_b 12.180
_cell_length_c 4.659
_cell_angle_alpha 90.00
_cell_angle_beta 90.00
_cell_angle_gamma 90.00
loop_
_atom_site_label
_atom_site_type_symbol
_atom_site_fract_x
_atom_site_fract_y
_atom_site_fract_z
_atom_site_occupancy
Y1 Y 0.000 0.000 0.000 1
Y2 Y 0.141 0.297 0.000 1
Y3 Y 0.182 0.572 0.500 1
Tl1 Tl 0.074 0.831 0.500 1
Ru1 Ru 0.000 0.500 0.000 1
```

Largest 6 diffraction maxima, by intensity, 10° ≤ 2θ ≤ 80°:
(2 1 1), 2θ 30.8, d 2.902, I = 100; (1 3 1), 2θ 31.4, d 2.849, I = 73; (2 2 1), 2θ 33.4, d 2.683, I = 56; (0 0 2), 2θ 38.7, d 2.329, I = 49; (1 4 0), 2θ 31.5, d 2.836, I = 37; (2 6 0), 2θ 50.7, d 1.800, I = 33